(1)
Simulated powder diffractogram
Compound: Pm3HoBi2C
Radiation: λ = 1.5418 Å (Cu Kα)
Structure: a structure optimized by DFT (PBE)
Peak positions follow from Bragg's law for the DFT cell and can differ from measured ones.

Structural model:
```
Pm3HoBi2C
1.0
-2.429 2.500 8.233
2.429 -2.500 8.233
2.429 2.500 -8.233
Pm Ho Bi C
3 1 2 1
Cartesian
0.000 0.000 0.000
2.429 0.000 5.670
0.000 2.500 2.562
0.000 0.000 8.233
2.429 0.000 2.337
0.000 2.500 5.896
0.000 2.500 0.000
```

Main lines, in order of rising 2θ (2θ from 5° to 70°):
3.484 Å, 25.6°, rel. 21
3.208 Å, 27.8°, rel. 51
2.745 Å, 32.6°, rel. 26
2.659 Å, 33.7°, rel. 100
2.500 Å, 35.9°, rel. 28
2.429 Å, 37.0°, rel. 26
1.848 Å, 49.3°, rel. 15
1.819 Å, 50.2°, rel. 16
1.742 Å, 52.5°, rel. 19
1.489 Å, 62.4°, rel. 20
1.471 Å, 63.2°, rel. 31
1.443 Å, 64.6°, rel. 16


(2)
Simulated powder diffractogram
Compound: Cs2U3S8
Radiation: λ = 1.5418 Å (Cu Kα)
Structure: a structure optimized by DFT (PBE)
Peak positions follow from Bragg's law for the DFT cell and can differ from measured ones.

Structural model:
```
Cs2U3S8
1.0
8.381 -4.073 0.000
8.381 4.073 0.000
-2.102 0.000 6.641
Cs U S
2 3 8
Cartesian
3.514 0.000 1.132
11.146 0.000 5.509
7.330 2.085 3.321
8.381 0.000 0.000
7.330 -2.085 3.321
0.618 0.000 3.072
6.676 1.814 0.797
7.984 1.814 5.844
5.671 0.000 4.007
8.989 0.000 2.634
6.676 -1.814 0.797
7.984 -1.814 5.844
14.042 0.000 3.569
```

Main lines, in order of rising 2θ (2θ from 5° to 70°):
7.990 Å, 11.1°, rel. 100
4.596 Å, 19.3°, rel. 44
4.229 Å, 21.0°, rel. 40
3.995 Å, 22.3°, rel. 41
3.629 Å, 24.5°, rel. 25
3.472 Å, 25.7°, rel. 33
3.386 Å, 26.3°, rel. 38
2.853 Å, 31.4°, rel. 52
2.783 Å, 32.2°, rel. 29
2.438 Å, 36.9°, rel. 44
2.295 Å, 39.2°, rel. 35
2.017 Å, 44.9°, rel. 28


(3)
Simulated powder diffractogram
Compound: Li4CuF7
Radiation: λ = 1.5418 Å (Cu Kα)
Structure: a structure optimized by DFT (PBE)
Peak positions follow from Bragg's law for the DFT cell and can differ from measured ones.

Structural model:
```
Li4CuF7
1.0
0.000 4.184 4.184
4.184 0.000 4.184
4.184 4.184 0.000
Li Cu F
4 1 7
Cartesian
1.029 1.029 1.029
3.156 3.156 1.029
3.156 1.029 3.156
1.029 3.156 3.156
6.277 6.277 6.277
0.000 0.000 0.000
6.277 6.277 4.323
6.277 4.323 6.277
8.230 6.277 6.277
4.323 6.277 6.277
6.277 8.230 6.277
6.277 6.277 8.230
```

Main lines, in order of rising 2θ (2θ from 5° to 70°):
4.832 Å, 18.4°, rel. 100
4.184 Å, 21.2°, rel. 68
2.959 Å, 30.2°, rel. 18
2.523 Å, 35.6°, rel. 48
2.416 Å, 37.2°, rel. 12
2.092 Å, 43.2°, rel. 39
1.920 Å, 47.3°, rel. 9
1.871 Å, 48.7°, rel. 25
1.611 Å, 57.2°, rel. 22
1.479 Å, 62.8°, rel. 31
1.415 Å, 66.0°, rel. 15
1.395 Å, 67.1°, rel. 10


(4)
Simulated powder diffractogram
Compound: Cs2AgF4
Radiation: λ = 1.5418 Å (Cu Kα)
Structure: a structure optimized by DFT (PBE)
Peak positions follow from Bragg's law for the DFT cell and can differ from measured ones.

Structural model:
```
Cs2AgF4
1.0
7.233 -3.294 0.000
7.233 3.294 0.000
0.000 0.000 6.592
Cs Ag F
4 2 8
Cartesian
2.060 0.000 0.000
5.173 0.000 3.296
9.293 0.000 3.296
12.406 0.000 0.000
0.000 0.000 3.296
7.233 0.000 0.000
2.178 0.000 3.296
7.233 1.773 4.814
7.233 1.522 1.518
5.056 0.000 0.000
9.411 0.000 0.000
7.233 -1.522 5.075
7.233 -1.773 1.778
12.289 0.000 3.296
```

Main lines, in order of rising 2θ (2θ from 5° to 70°):
7.233 Å, 12.2°, rel. 12
3.351 Å, 26.6°, rel. 100
3.295 Å, 27.1°, rel. 71
2.458 Å, 36.6°, rel. 14
2.436 Å, 36.9°, rel. 16
2.411 Å, 37.3°, rel. 13
2.330 Å, 38.6°, rel. 39
1.946 Å, 46.7°, rel. 16
1.913 Å, 47.5°, rel. 40
1.676 Å, 54.8°, rel. 15
1.648 Å, 55.8°, rel. 12
1.474 Å, 63.1°, rel. 13


(5)
Simulated powder diffractogram
Compound: K4HAuBr2
Radiation: λ = 1.5418 Å (Cu Kα)
Structure: a structure optimized by DFT (PBE)
Peak positions follow from Bragg's law for the DFT cell and can differ from measured ones.

Structural model:
```
K4HAuBr2
1.0
7.998 0.000 0.000
0.000 4.608 0.000
-2.636 0.000 7.595
K H Au Br
4 1 1 2
Cartesian
1.273 0.000 1.766
-0.078 2.304 5.812
5.440 2.304 1.784
4.089 0.000 5.830
0.000 2.304 0.000
-1.318 0.000 3.798
3.999 0.000 0.000
2.681 2.304 3.798
```

Main lines, in order of rising 2θ (2θ from 5° to 70°):
7.594 Å, 11.7°, rel. 26
6.534 Å, 13.6°, rel. 22
3.934 Å, 22.6°, rel. 15
3.770 Å, 23.6°, rel. 19
3.271 Å, 27.3°, rel. 100
2.926 Å, 30.6°, rel. 14
2.324 Å, 38.7°, rel. 12
2.317 Å, 38.9°, rel. 25
2.306 Å, 39.1°, rel. 37
1.883 Å, 48.3°, rel. 13
1.465 Å, 63.5°, rel. 11
1.460 Å, 63.7°, rel. 11


(6)
Simulated powder diffractogram
Compound: Ba7In2Se6F8
Radiation: λ = 1.5418 Å (Cu Kα)
Structure: a structure optimized by DFT (PBE)
Peak positions follow from Bragg's law for the DFT cell and can differ from measured ones.

Structural model:
```
Ba7In2Se6F8
1.0
12.276 -2.228 0.000
12.276 2.228 0.000
-3.268 0.000 10.582
Ba In Se F
7 2 6 8
Cartesian
0.000 0.000 0.000
3.486 0.000 2.540
8.672 0.000 1.073
9.104 0.000 6.794
12.179 0.000 3.788
12.611 0.000 9.509
17.797 0.000 8.042
2.161 0.000 6.622
19.122 0.000 3.960
-0.413 0.000 6.660
3.029 0.000 9.031
5.986 0.000 5.247
15.297 0.000 5.335
18.254 0.000 1.551
21.696 0.000 3.922
0.757 0.000 2.776
-0.496 0.000 10.534
6.584 0.000 8.839
11.330 0.000 1.295
9.953 0.000 9.287
14.699 0.000 1.743
21.779 0.000 0.048
20.526 0.000 7.806
```

Main lines, in order of rising 2θ (2θ from 5° to 70°):
3.473 Å, 25.7°, rel. 18
3.368 Å, 26.5°, rel. 100
3.133 Å, 28.5°, rel. 46
3.068 Å, 29.1°, rel. 35
2.929 Å, 30.5°, rel. 42
2.676 Å, 33.5°, rel. 19
2.655 Å, 33.8°, rel. 21
2.228 Å, 40.5°, rel. 35
1.948 Å, 46.6°, rel. 22
1.925 Å, 47.2°, rel. 18
1.917 Å, 47.4°, rel. 16
1.816 Å, 50.2°, rel. 19


(7)
Simulated powder diffractogram
Compound: Np3Ge3Rh2
Radiation: λ = 1.5418 Å (Cu Kα)
Structure: a structure optimized by DFT (PBE)
Peak positions follow from Bragg's law for the DFT cell and can differ from measured ones.

Structural model:
```
Np3Ge3Rh2
1.0
8.041 0.000 0.000
0.000 14.389 0.000
0.000 0.000 5.516
Np Ge Rh
12 12 8
Cartesian
0.288 1.571 0.628
0.288 5.624 0.628
1.371 3.597 3.480
2.650 10.792 0.722
3.733 8.766 3.386
3.733 12.819 3.386
4.308 1.571 2.131
4.308 5.624 2.131
5.391 3.597 4.795
6.670 10.792 2.036
7.753 8.766 4.889
7.753 12.819 4.889
1.461 10.792 3.503
1.531 0.507 3.326
1.531 6.688 3.326
2.489 7.702 0.568
2.489 13.883 0.568
2.560 3.597 0.744
5.482 10.792 4.772
5.552 0.507 4.949
5.552 6.688 4.949
6.510 7.702 2.191
6.510 13.883 2.191
6.580 3.597 2.014
0.749 8.801 2.022
0.749 12.783 2.022
3.272 1.607 4.781
3.272 5.588 4.781
4.769 8.801 0.736
4.769 12.783 0.736
7.292 1.607 3.494
7.292 5.588 3.494
```

Main lines, in order of rising 2θ (2θ from 5° to 70°):
2.822 Å, 31.7°, rel. 39
2.681 Å, 33.4°, rel. 80
2.609 Å, 34.4°, rel. 23
2.567 Å, 35.0°, rel. 67
2.411 Å, 37.3°, rel. 100
2.398 Å, 37.5°, rel. 23
2.292 Å, 39.3°, rel. 51
2.154 Å, 41.9°, rel. 21
2.112 Å, 42.8°, rel. 22
1.889 Å, 48.2°, rel. 25
1.615 Å, 57.0°, rel. 30
1.516 Å, 61.1°, rel. 21


(8)
Simulated powder diffractogram
Compound: La2VHN3
Radiation: λ = 1.5418 Å (Cu Kα)
Structure: a structure optimized by DFT (PBE)
Peak positions follow from Bragg's law for the DFT cell and can differ from measured ones.

Structural model:
```
La2VHN3
1.0
-1.851 1.964 6.401
1.851 -1.964 6.401
1.851 1.964 -6.401
La V H N
2 1 1 3
Cartesian
0.000 0.000 1.860
0.000 0.000 10.943
0.000 0.000 6.401
0.000 1.964 0.000
1.851 0.000 0.000
0.000 0.000 4.397
0.000 0.000 8.405
```

Main lines, in order of rising 2θ (2θ from 5° to 70°):
3.755 Å, 23.7°, rel. 26
3.201 Å, 27.9°, rel. 26
2.890 Å, 30.9°, rel. 73
2.796 Å, 32.0°, rel. 81
2.694 Å, 33.3°, rel. 100
2.134 Å, 42.4°, rel. 17
2.061 Å, 43.9°, rel. 40
1.964 Å, 46.2°, rel. 23
1.851 Å, 49.2°, rel. 19
1.673 Å, 54.9°, rel. 33
1.607 Å, 57.3°, rel. 31
1.559 Å, 59.3°, rel. 24


(9)
Simulated powder diffractogram
Compound: LiCeCu5
Radiation: λ = 1.5418 Å (Cu Kα)
Structure: a structure optimized by DFT (PBE)
Peak positions follow from Bragg's law for the DFT cell and can differ from measured ones.

Structural model:
```
LiCeCu5
1.0
8.220 0.000 0.000
0.000 5.054 0.000
0.000 0.000 10.302
Li Ce Cu
4 4 20
Cartesian
1.163 1.263 1.423
2.947 3.790 6.573
5.273 1.263 3.728
7.057 3.790 8.879
2.021 3.790 9.639
2.089 1.263 4.488
6.131 3.790 5.813
6.199 1.263 0.662
0.459 1.263 9.270
0.556 2.547 7.111
0.556 5.034 7.111
0.747 3.790 4.991
1.503 3.790 2.594
2.607 1.263 7.745
3.363 1.263 10.142
3.554 0.020 1.960
3.554 2.507 1.960
3.651 3.790 4.119
4.569 1.263 6.183
4.666 2.547 8.342
4.666 5.034 8.342
4.857 3.790 0.160
5.612 3.790 2.557
6.717 1.263 7.708
7.472 1.263 5.311
7.663 0.020 3.191
7.663 2.507 3.191
7.761 3.790 1.032
```

Main lines, in order of rising 2θ (2θ from 5° to 70°):
4.365 Å, 20.3°, rel. 33
3.972 Å, 22.4°, rel. 30
2.458 Å, 36.6°, rel. 47
2.345 Å, 38.4°, rel. 100
2.337 Å, 38.5°, rel. 90
2.269 Å, 39.7°, rel. 35
2.186 Å, 41.3°, rel. 42
2.153 Å, 42.0°, rel. 24
2.015 Å, 45.0°, rel. 26
1.999 Å, 45.4°, rel. 29
1.975 Å, 46.0°, rel. 43
1.420 Å, 65.8°, rel. 28


What did the eighth record say?
Simulated powder diffractogram
Compound: La2VHN3
Radiation: λ = 1.5418 Å (Cu Kα)
Structure: a structure optimized by DFT (PBE)
Peak positions follow from Bragg's law for the DFT cell and can differ from measured ones.

Structural model:
```
La2VHN3
1.0
-1.851 1.964 6.401
1.851 -1.964 6.401
1.851 1.964 -6.401
La V H N
2 1 1 3
Cartesian
0.000 0.000 1.860
0.000 0.000 10.943
0.000 0.000 6.401
0.000 1.964 0.000
1.851 0.000 0.000
0.000 0.000 4.397
0.000 0.000 8.405
```

Main lines, in order of rising 2θ (2θ from 5° to 70°):
3.755 Å, 23.7°, rel. 26
3.201 Å, 27.9°, rel. 26
2.890 Å, 30.9°, rel. 73
2.796 Å, 32.0°, rel. 81
2.694 Å, 33.3°, rel. 100
2.134 Å, 42.4°, rel. 17
2.061 Å, 43.9°, rel. 40
1.964 Å, 46.2°, rel. 23
1.851 Å, 49.2°, rel. 19
1.673 Å, 54.9°, rel. 33
1.607 Å, 57.3°, rel. 31
1.559 Å, 59.3°, rel. 24


Please write out number 1 again, unchanged.
Simulated powder diffractogram
Compound: Pm3HoBi2C
Radiation: λ = 1.5418 Å (Cu Kα)
Structure: a structure optimized by DFT (PBE)
Peak positions follow from Bragg's law for the DFT cell and can differ from measured ones.

Structural model:
```
Pm3HoBi2C
1.0
-2.429 2.500 8.233
2.429 -2.500 8.233
2.429 2.500 -8.233
Pm Ho Bi C
3 1 2 1
Cartesian
0.000 0.000 0.000
2.429 0.000 5.670
0.000 2.500 2.562
0.000 0.000 8.233
2.429 0.000 2.337
0.000 2.500 5.896
0.000 2.500 0.000
```

Main lines, in order of rising 2θ (2θ from 5° to 70°):
3.484 Å, 25.6°, rel. 21
3.208 Å, 27.8°, rel. 51
2.745 Å, 32.6°, rel. 26
2.659 Å, 33.7°, rel. 100
2.500 Å, 35.9°, rel. 28
2.429 Å, 37.0°, rel. 26
1.848 Å, 49.3°, rel. 15
1.819 Å, 50.2°, rel. 16
1.742 Å, 52.5°, rel. 19
1.489 Å, 62.4°, rel. 20
1.471 Å, 63.2°, rel. 31
1.443 Å, 64.6°, rel. 16